Starting from the GGA+U geometry in Alexandria, the X-ray powder pattern of KTl3V2F9 was computed for Cu Kα.
No peak broadening, texture or thermal motion is included.

Atomic structure:
```
data_KTl3V2F9
_chemical_formula_sum 'K1 Tl3 V2 F9'
_cell_length_a 6.1937
_cell_length_b 6.1937
_cell_length_c 7.7844
_cell_angle_alpha 90.00
_cell_angle_beta 90.00
_cell_angle_gamma 120.00
_space_group_name_H-M_alt 'P -3 m 1'
_space_group_IT_number 164
_space_group_name_Hall '-P 3 2"'
loop_
_atom_site_label
_atom_site_fract_x
_atom_site_fract_y
_atom_site_fract_z
_atom_site_occupancy
K1 0.0000 0.0000 0.0000 1
Tl1 0.0000 0.0000 0.5000 1
Tl2 0.3333 0.6667 0.1601 1
V1 0.3333 0.6667 0.6446 1
F1 0.0000 0.5000 0.5000 1
F2 0.1817 0.3635 0.7937 1
```

Largest 10 diffraction maxima, in order of rising 2θ, 10 to 90 degrees two-theta:
2θ/deg, d [Å], I (rel.), index
20.10, 4.417, 70, 1 0 1
28.33, 3.150, 100, 0 1 2
28.83, 3.097, 94, 1 1 0
35.40, 2.536, 46, 0 2 1
40.86, 2.208, 62, 2 0 2
45.61, 1.989, 21, 1 1 3
46.28, 1.962, 20, 2 1 1
49.85, 1.829, 21, 1 0 4
50.78, 1.798, 39, 1 2 2
59.72, 1.548, 20, 2 2 0